# Ni15Te
Computed X-ray powder pattern, Cu Ka. Input: a cell relaxed with GGA-PBE.

Structural model:
Cell: 6.746 2.618 33.279 Å, 90.00 90.00 90.00°
Space group Pm (No. 6)
Inequivalent atoms, fractional coordinates:
Ni  0.000  0.000  0.000 x1
Ni  0.000  0.000  0.073 x1
Ni  0.000  0.000  0.147 x1
Ni  0.000  0.000  0.221 x1
Ni  0.000  0.000  0.294 x1
Ni  0.000  0.000  0.368 x1
Ni  0.000  0.000  0.926 x1
Ni  0.247  0.500  0.333 x1
Ni  0.250  0.500  0.037 x1
Ni  0.250  0.500  0.110 x1
Ni  0.250  0.500  0.184 x1
Ni  0.250  0.500  0.889 x1
Ni  0.250  0.500  0.963 x1
Ni  0.251  0.500  0.258 x1
Ni  0.500  0.000  0.000 x1
Ni  0.500  0.000  0.073 x1
Ni  0.500  0.000  0.147 x1
Ni  0.500  0.000  0.221 x1
Ni  0.500  0.000  0.294 x1
Ni  0.500  0.000  0.926 x1
Ni  0.503  0.000  0.850 x1
Ni  0.749  0.500  0.257 x1
Ni  0.750  0.500  0.037 x1
Ni  0.750  0.500  0.110 x1
Ni  0.750  0.500  0.184 x1
Ni  0.750  0.500  0.816 x1
Ni  0.750  0.500  0.889 x1
Ni  0.750  0.500  0.963 x1
Ni  0.753  0.500  0.333 x1
Ni  0.997  0.000  0.850 x1
Te  0.250  0.500  0.807 x1
Te  0.500  0.000  0.377 x1

Largest 12 diffraction maxima, by angle, 2θ from 10° to 80°:
2θ = 10.6°, I 24
2θ = 40.0°, I 7
2θ = 43.8°, I 100
2θ = 44.4°, I 50
2θ = 46.8°, I 36
2θ = 49.8°, I 35
2θ = 52.0°, I 26
2θ = 54.4°, I 25
2θ = 72.2°, I 10
2θ = 76.9°, I 17
2θ = 77.4°, I 5
2θ = 78.6°, I 14